1.
This entry pairs a crystal structure of MgSO4 with its computed PXRD pattern. Radiation: Cu Kα X-rays. Structure: a DFT-relaxed cell (GGA-PBE, the Materials Project).
Lines closer than 0.1° are merged.

Cell and atoms:
a = 5.048 Å, b = 12.139 Å, c = 7.707 Å
α = 90.00°, β = 130.83°, γ = 90.00°
Element x y z (fractional)
Mg 0.183 0.234 0.323
Mg 0.183 0.266 0.823
Mg 0.817 0.734 0.177
Mg 0.817 0.766 0.677
S 0.261 0.617 0.677
S 0.261 0.883 0.177
S 0.739 0.117 0.823
S 0.739 0.383 0.323
O 0.074 0.179 0.025
O 0.074 0.321 0.525
O 0.106 0.616 0.175
O 0.106 0.884 0.675
O 0.332 0.678 0.881
O 0.332 0.822 0.381
O 0.449 0.140 0.825
O 0.449 0.360 0.325
O 0.551 0.640 0.675
O 0.551 0.860 0.175
O 0.668 0.178 0.619
O 0.668 0.322 0.119
O 0.894 0.116 0.325
O 0.894 0.384 0.825
O 0.926 0.679 0.475
O 0.926 0.821 0.975

Main lines, in order of rising 2θ (2θ = 10–80°):
2θ 14.6, I 100; 2θ 19.0, I 18; 2θ 21.1, I 45; 2θ 22.9, I 35; 2θ 27.6, I 15; 2θ 28.3, I 22; 2θ 29.4, I 21; 2θ 31.6, I 20; 2θ 32.2, I 46; 2θ 37.9, I 26

2.
This entry pairs a crystal structure of TbB4W with its computed PXRD pattern. Radiation: Cu Kα X-rays. Structure: a DFT-relaxed cell (GGA-PBE, the Materials Project).
Lines closer than 0.1° are merged.

Cell and atoms:
a = 6.051 Å, b = 11.694 Å, c = 3.635 Å
α = 90.00°, β = 90.00°, γ = 90.00°
Element x y z (fractional)
Tb 0.127 0.150 0.000
Tb 0.373 0.650 0.000
Tb 0.627 0.350 0.000
Tb 0.873 0.850 0.000
B 0.024 0.693 0.500
B 0.114 0.547 0.500
B 0.134 0.968 0.500
B 0.214 0.814 0.500
B 0.286 0.314 0.500
B 0.366 0.468 0.500
B 0.386 0.047 0.500
B 0.476 0.193 0.500
B 0.524 0.807 0.500
B 0.614 0.953 0.500
B 0.634 0.532 0.500
B 0.714 0.686 0.500
B 0.786 0.186 0.500
B 0.866 0.032 0.500
B 0.886 0.453 0.500
B 0.976 0.307 0.500
W 0.130 0.416 0.000
W 0.370 0.916 0.000
W 0.630 0.084 0.000
W 0.870 0.584 0.000

Main lines, in order of rising 2θ (2θ = 10–80°):
2θ 24.5, I 100; 2θ 30.5, I 84; 2θ 34.1, I 28; 2θ 37.6, I 36; 2θ 39.5, I 100; 2θ 42.4, I 36; 2θ 45.4, I 48; 2θ 50.2, I 22; 2θ 59.9, I 26; 2θ 67.0, I 18

3.
This entry pairs a crystal structure of Tl2Hg3Te4 with its computed PXRD pattern. Radiation: Cu Kα X-rays. Structure: a DFT-relaxed cell (GGA-PBE, the Materials Project).
Lines closer than 0.1° are merged.

Cell and atoms:
a = 7.602 Å, b = 7.602 Å, c = 14.311 Å
α = 112.81°, β = 112.81°, γ = 59.09°
Element x y z (fractional)
Tl 0.027 0.700 0.953
Tl 0.300 0.973 0.547
Tl 0.700 0.027 0.453
Tl 0.973 0.300 0.047
Hg 0.029 0.300 0.348
Hg 0.300 0.029 0.848
Hg 0.388 0.612 0.250
Hg 0.612 0.388 0.750
Hg 0.700 0.971 0.152
Hg 0.971 0.700 0.652
Te 0.013 0.322 0.734
Te 0.305 0.534 0.565
Te 0.322 0.013 0.234
Te 0.466 0.695 0.935
Te 0.534 0.305 0.065
Te 0.678 0.987 0.766
Te 0.695 0.466 0.435
Te 0.987 0.678 0.266

Main lines, in order of rising 2θ (2θ = 10–80°):
2θ 23.7, I 27; 2θ 25.5, I 60; 2θ 25.8, I 20; 2θ 27.8, I 94; 2θ 30.9, I 100; 2θ 39.6, I 17; 2θ 40.5, I 17; 2θ 41.3, I 16; 2θ 42.8, I 31; 2θ 51.6, I 19